Calculated PXRD pattern of NbCoAg2 for Cu Kα (λ = 1.5418 Å), from a GGA-PBE-relaxed structure.
Kinematic intensities with the Lorentz-polarization factor, no thermal factor.

Peak list (9 most intense, 15 to 90 degrees two-theta, low angle first)
2θ 24.3, d 3.662, intensity 5
2θ 28.1, d 3.171, intensity 1
2θ 40.2, d 2.242, intensity 100
2θ 47.5, d 1.912, intensity 2
2θ 58.2, d 1.586, intensity 16
2θ 64.0, d 1.455, intensity 1
2θ 73.1, d 1.295, intensity 32
2θ 78.3, d 1.221, intensity 1
2θ 86.9, d 1.121, intensity 10

Crystal structure
```
NbCoAg2
1.0
6.3425 0.0000 0.0000
0.0000 6.3425 0.0000
0.0000 0.0000 6.3425
Nb Co Ag
4 4 8
direct
0.0000 0.0000 0.0000
0.0000 0.5000 0.5000
0.5000 0.0000 0.5000
0.5000 0.5000 0.0000
0.2500 0.2500 0.2500
0.2500 0.7500 0.7500
0.7500 0.2500 0.7500
0.7500 0.7500 0.2500
0.0000 0.0000 0.5000
0.0000 0.5000 0.0000
0.2500 0.2500 0.7500
0.2500 0.7500 0.2500
0.5000 0.0000 0.0000
0.5000 0.5000 0.5000
0.7500 0.2500 0.2500
0.7500 0.7500 0.7500
```

Calculated PXRD pattern of NaDyHgS3 for Cu Kα (λ = 1.5418 Å), from a GGA-PBE-relaxed structure.
Kinematic intensities with the Lorentz-polarization factor, no thermal factor.

Peak list (10 most intense, 15 to 90 degrees two-theta, low angle first)
2θ 26.2, d 3.405, intensity 24
2θ 28.1, d 3.174, intensity 100
2θ 30.2, d 2.963, intensity 77
2θ 32.3, d 2.772, intensity 28
2θ 33.3, d 2.689, intensity 39
2θ 34.7, d 2.585, intensity 35
2θ 38.1, d 2.364, intensity 22
2θ 39.5, d 2.282, intensity 44
2θ 45.1, d 2.010, intensity 26
2θ 50.8, d 1.798, intensity 22

Crystal structure
```
NaDyHgS3
1.0
14.3109 0.0000 0.0000
0.0000 4.0209 0.0000
0.0000 0.0000 11.0888
Na Dy Hg S
4 4 4 12
direct
0.2125 0.2500 0.1961
0.2875 0.7500 0.6961
0.7125 0.2500 0.3039
0.7875 0.7500 0.8039
0.0358 0.7500 0.8540
0.4642 0.2500 0.3540
0.5358 0.7500 0.6460
0.9642 0.2500 0.1460
0.0558 0.2500 0.6009
0.4442 0.7500 0.1009
0.5558 0.2500 0.8991
0.9442 0.7500 0.3991
0.0665 0.2500 0.3695
0.0867 0.7500 0.0859
0.1598 0.2500 0.7817
0.3402 0.7500 0.2817
0.4133 0.2500 0.5859
0.4335 0.7500 0.8695
0.5665 0.2500 0.1305
0.5867 0.7500 0.4141
0.6598 0.2500 0.7183
0.8402 0.7500 0.2183
0.9133 0.2500 0.9141
0.9335 0.7500 0.6305
```

Calculated PXRD pattern of K2Pd3O4 for Cu Kα (λ = 1.5418 Å), from a GGA-PBE-relaxed structure.
Kinematic intensities with the Lorentz-polarization factor, no thermal factor.

Peak list (10 most intense, 15 to 90 degrees two-theta, low angle first)
2θ 16.1, d 5.494, intensity 100
2θ 22.0, d 4.045, intensity 22
2θ 27.4, d 3.257, intensity 25
2θ 36.1, d 2.489, intensity 23
2θ 37.1, d 2.426, intensity 44
2θ 39.8, d 2.267, intensity 19
2θ 40.7, d 2.219, intensity 36
2θ 49.4, d 1.845, intensity 16
2θ 50.2, d 1.818, intensity 32
2θ 63.7, d 1.462, intensity 20

Crystal structure
```
K2Pd3O4
1.0
0.0000 4.9787 10.9874
2.7783 0.0000 10.9874
2.7783 4.9787 0.0000
K Pd O
4 6 8
direct
0.0348 0.0348 0.2152
0.2152 0.2152 0.0348
0.7849 0.7849 0.9652
0.9652 0.9652 0.7849
0.1264 0.1264 0.6236
0.3750 0.3750 0.3750
0.3764 0.3764 0.8736
0.6236 0.6236 0.1264
0.6250 0.6250 0.6250
0.8736 0.8736 0.3764
0.1600 0.4746 0.2613
0.2613 0.6042 0.1600
0.3958 0.7387 0.5254
0.4746 0.1600 0.6042
0.5254 0.8400 0.3958
0.6042 0.2613 0.4746
0.7387 0.3958 0.8400
0.8400 0.5254 0.7387
```

Copy entry 3 word for word.
Calculated PXRD pattern of K2Pd3O4 for Cu Kα (λ = 1.5418 Å), from a GGA-PBE-relaxed structure.
Kinematic intensities with the Lorentz-polarization factor, no thermal factor.

Peak list (10 most intense, 15 to 90 degrees two-theta, low angle first)
2θ 16.1, d 5.494, intensity 100
2θ 22.0, d 4.045, intensity 22
2θ 27.4, d 3.257, intensity 25
2θ 36.1, d 2.489, intensity 23
2θ 37.1, d 2.426, intensity 44
2θ 39.8, d 2.267, intensity 19
2θ 40.7, d 2.219, intensity 36
2θ 49.4, d 1.845, intensity 16
2θ 50.2, d 1.818, intensity 32
2θ 63.7, d 1.462, intensity 20

Crystal structure
```
K2Pd3O4
1.0
0.0000 4.9787 10.9874
2.7783 0.0000 10.9874
2.7783 4.9787 0.0000
K Pd O
4 6 8
direct
0.0348 0.0348 0.2152
0.2152 0.2152 0.0348
0.7849 0.7849 0.9652
0.9652 0.9652 0.7849
0.1264 0.1264 0.6236
0.3750 0.3750 0.3750
0.3764 0.3764 0.8736
0.6236 0.6236 0.1264
0.6250 0.6250 0.6250
0.8736 0.8736 0.3764
0.1600 0.4746 0.2613
0.2613 0.6042 0.1600
0.3958 0.7387 0.5254
0.4746 0.1600 0.6042
0.5254 0.8400 0.3958
0.6042 0.2613 0.4746
0.7387 0.3958 0.8400
0.8400 0.5254 0.7387
```

- Which formula does entry 1 have?
  NbCoAg2